Diffraction record for Li5Zn3Cd3. The powder X-ray diffraction pattern is theoretical, not measured: it uses a GGA-PBE-relaxed structure and Cu Kα X-rays.
No peak broadening, texture or thermal motion is included.

Main lines, low angle first (10 to 90 degrees two-theta):
| 2θ/deg | intensity |
| --- | --- |
| 11.03 | 18 |
| 19.16 | 100 |
| 22.16 | 42 |
| 32.76 | 32 |
| 36.49 | 36 |
| 40.54 | 74 |
| 43.10 | 44 |
| 50.37 | 22 |
| 59.43 | 21 |
| 78.61 | 19 |

Structural model:
```
11
Lattice="9.2648 0.0000 0.0000 -4.6324 8.0235 0.0000 0.0000 0.0000 2.9072" Properties=species:S:1:pos:R:3 pbc="T T T"
Li -3.0966 5.3635 0.0000
Li 1.5358 2.6600 0.0000
Li 0.0000 5.3490 0.0000
Li 4.6324 2.6745 0.0000
Li 6.1933 0.0000 0.0000
Zn -0.7326 1.2689 0.0000
Zn 1.4652 0.0000 0.0000
Zn 3.8998 6.7546 0.0000
Cd -1.8944 3.2812 1.4536
Cd 3.7888 0.0000 1.4536
Cd 2.7380 4.7423 1.4536
```

=====

Diffraction record for Ga4Ni5Ir4. The powder X-ray diffraction pattern is theoretical, not measured: it uses a GGA-PBE-relaxed structure and Cu Kα X-rays.
No peak broadening, texture or thermal motion is included.

Main lines, low angle first (10 to 90 degrees two-theta):
| 2θ/deg | intensity |
| --- | --- |
| 13.28 | 30 |
| 31.58 | 19 |
| 38.18 | 9 |
| 41.85 | 100 |
| 47.55 | 16 |
| 49.28 | 28 |
| 70.89 | 18 |
| 72.26 | 8 |
| 84.56 | 13 |
| 87.16 | 18 |

Structural model:
```
13
Lattice="-4.7142 4.7142 1.9123 4.7142 -4.7142 1.9123 4.7142 4.7142 -1.9123" Properties=species:S:1:pos:R:3 pbc="T T T"
Ga 7.3502 1.3074 0.0000
Ga 1.3074 2.0783 0.0000
Ga 3.4068 2.6359 1.9123
Ga -2.6359 3.4068 1.9123
Ni 0.0000 0.0000 0.0000
Ni 5.1402 2.9866 0.0000
Ni 2.9866 4.2882 0.0000
Ni 1.7277 0.4260 1.9123
Ni -0.4260 1.7277 1.9123
Ir 3.6282 0.8458 0.0000
Ir 3.8684 -1.0860 1.9123
Ir 0.8458 5.8003 0.0000
Ir 1.0860 3.8684 1.9123
```

=====

Diffraction record for Er3Cd4. The powder X-ray diffraction pattern is theoretical, not measured: it uses a GGA-PBE-relaxed structure and Cu Kα X-rays.
No peak broadening, texture or thermal motion is included.

Main lines, low angle first (10 to 90 degrees two-theta):
| 2θ/deg | intensity |
| --- | --- |
| 10.48 | 6 |
| 20.19 | 5 |
| 21.08 | 7 |
| 34.77 | 100 |
| 50.00 | 18 |
| 62.25 | 9 |
| 62.37 | 27 |
| 73.34 | 5 |
| 73.47 | 6 |
| 83.85 | 15 |

Structural model:
```
7
Lattice="2.5780 1.4884 8.4384 -2.5780 1.4884 8.4384 0.0000 -2.9768 8.4384" Properties=species:S:1:pos:R:3 pbc="T T T"
Er 0.0000 0.0000 0.0000
Er 0.0000 0.0000 6.3199
Er 0.0000 0.0000 18.9954
Cd 0.0000 0.0000 3.2104
Cd 0.0000 0.0000 9.6126
Cd 0.0000 0.0000 15.7027
Cd 0.0000 0.0000 22.1049
```

=====

Diffraction record for LaBe17Ru. The powder X-ray diffraction pattern is theoretical, not measured: it uses a GGA-PBE-relaxed structure and Cu Kα X-rays.
No peak broadening, texture or thermal motion is included.

Main lines, low angle first (10 to 90 degrees two-theta):
| 2θ/deg | intensity |
| --- | --- |
| 15.64 | 54 |
| 20.98 | 39 |
| 23.34 | 100 |
| 24.20 | 32 |
| 33.87 | 94 |
| 36.93 | 19 |
| 41.01 | 33 |
| 47.72 | 26 |
| 48.18 | 48 |
| 70.15 | 24 |

Structural model:
```
19
Lattice="3.8120 2.2009 3.6780 -3.8120 2.2009 3.6780 0.0000 -4.4017 3.6780" Properties=species:S:1:pos:R:3 pbc="T T T"
La 0.0000 0.0000 0.0000
Be 0.0000 -2.1770 1.8215
Be -1.8853 1.0885 1.8215
Be -1.9345 -1.1169 5.3576
Be 0.0000 -2.0133 5.2003
Be -1.7436 1.0067 5.2003
Be -1.0398 -1.9253 7.1884
Be -2.1872 0.0622 7.1884
Be 1.8853 1.0885 1.8215
Be 0.0000 0.0000 6.1193
Be 1.0398 -1.9253 7.1884
Be -1.1474 1.8631 7.1884
Be 1.9345 -1.1169 5.3576
Be 0.0000 2.2338 5.3576
Be 0.0000 0.0000 8.2129
Be 1.7436 1.0067 5.2003
Be 2.1872 0.0622 7.1884
Be 1.1474 1.8631 7.1884
Ru 0.0000 0.0000 3.7015
```

=====

Q: Number 4 is which compound?
A: LaBe17Ru